1.
AcPm2Nd2Ho: theoretical powder diffraction line list (Cu Kα, 1.54184 Å), based on a DFT-relaxed cell (GGA-PBE, Alexandria).
Peak positions follow from Bragg's law for the DFT cell and can differ from measured ones.

Atomic structure:
Unit cell a=7.2828 b=5.8268 c=10.0611 alpha=90.00 beta=90.00 gamma=90.00
Space group Pmma (No. 51)
Symmetry-distinct sites (fractional):
Ac 0.0000 0.0000 0.0000 x2
Pm 0.2500 0.0000 0.3367 x2
Pm 0.2500 0.5000 0.8276 x2
Nd 0.0000 0.5000 0.5000 x2
Nd 0.2500 0.0000 0.6650 x2
Ho 0.2500 0.5000 0.1677 x2

The 10 most intense peaks (10° ≤ 2θ ≤ 90°), sorted by position:
| 2theta | Rel. int. |
| --- | --- |
| 30.3 | 987 |
| 30.7 | 1000 |
| 43.7 | 365 |
| 54.3 | 255 |
| 54.4 | 131 |
| 54.6 | 133 |
| 59.9 | 303 |
| 72.4 | 112 |
| 77.3 | 97 |
| 88.9 | 102 |

=====

2.
SiPb: theoretical powder diffraction line list (Cu Kα, 1.54184 Å), based on a DFT-relaxed cell (GGA-PBE, Alexandria).
Peak positions follow from Bragg's law for the DFT cell and can differ from measured ones.

Atomic structure:
Unit cell a=6.4224 b=3.7204 c=9.2502 alpha=90.00 beta=104.03 gamma=90.00
Space group Cm (No. 8)
Symmetry-distinct sites (fractional):
Si 0.0000 0.0000 0.0000 x2
Si 0.2015 0.5000 0.1010 x2
Pb 0.1253 0.0000 0.3602 x2
Pb 0.3949 0.5000 0.6855 x2

The 10 most intense peaks (10° ≤ 2θ ≤ 90°), sorted by position:
| 2theta | Rel. int. |
| --- | --- |
| 27.9 | 1000 |
| 29.9 | 492 |
| 30.7 | 298 |
| 30.9 | 615 |
| 32.3 | 609 |
| 32.6 | 285 |
| 38.6 | 280 |
| 44.0 | 207 |
| 49.1 | 288 |
| 58.9 | 247 |

=====

3.
Hg3N2Cl6: theoretical powder diffraction line list (Cu Kα, 1.54184 Å), based on a DFT-relaxed cell (GGA-PBE, Alexandria).
Peak positions follow from Bragg's law for the DFT cell and can differ from measured ones.

Atomic structure:
Unit cell a=5.4471 b=8.4268 c=13.2435 alpha=90.00 beta=90.00 gamma=90.00
Space group Pmna (No. 53)
Symmetry-distinct sites (fractional):
Hg 0.0000 0.0000 0.0000 x2
Hg 0.0000 0.3601 0.3709 x4
N 0.0000 0.2100 0.9107 x4
Cl 0.0000 0.0755 0.3721 x4
Cl 0.0000 0.3562 0.1371 x4
Cl 0.0000 0.3568 0.6153 x4

The 10 most intense peaks (10° ≤ 2θ ≤ 90°), sorted by position:
| 2theta | Rel. int. |
| --- | --- |
| 12.5 | 754 |
| 17.0 | 309 |
| 20.5 | 1000 |
| 23.6 | 393 |
| 26.0 | 719 |
| 29.0 | 426 |
| 31.9 | 341 |
| 32.9 | 494 |
| 41.6 | 311 |
| 44.4 | 272 |

=====

4.
YSn2Pd7: theoretical powder diffraction line list (Cu Kα, 1.54184 Å), based on a DFT-relaxed cell (GGA-PBE, Alexandria).
Peak positions follow from Bragg's law for the DFT cell and can differ from measured ones.

Atomic structure:
Unit cell a=4.1174 b=4.1174 c=22.3259 alpha=90.00 beta=90.00 gamma=90.00
Space group I4/mmm (No. 139)
Symmetry-distinct sites (fractional):
Y 0.0000 0.0000 0.0000 x2
Sn 0.0000 0.0000 0.3289 x4
Pd 0.0000 0.0000 0.5000 x2
Pd 0.0000 0.5000 0.0935 x8
Pd 0.0000 0.5000 0.2500 x4

The 10 most intense peaks (10° ≤ 2θ ≤ 90°), sorted by position:
| 2theta | Rel. int. |
| --- | --- |
| 22.0 | 70 |
| 24.7 | 151 |
| 39.3 | 1000 |
| 44.0 | 387 |
| 49.0 | 108 |
| 64.0 | 125 |
| 67.9 | 161 |
| 77.7 | 268 |
| 84.5 | 90 |
| 85.0 | 67 |

=====

Q: What is the formula in the fourth record?
A: YSn2Pd7